# 1
Diffraction record for GaHg2Ir. The PXRD pattern is simulated, not measured: it uses a GGA-PBE-relaxed structure and Cu Kα (λ = 1.5418 Å).
Kinematic intensities with the Lorentz-polarization factor, no thermal factor.

The 8 most intense peaks (2θ from 10° to 90°), in order of falling intensity:
- 38.1 deg, intensity 1000
- 68.9 deg, intensity 358
- 55.1 deg, intensity 175
- 81.6 deg, intensity 115
- 23.1 deg, intensity 86
- 45.1 deg, intensity 47
- 26.7 deg, intensity 38
- 60.5 deg, intensity 21

Lattice parameters (Å, degrees): 6.6723 6.6723 6.6723 90.00 90.00 90.00
Space group F-43m (No. 216)
Asymmetric unit:
Ga: 0.0000 0.0000 0.0000 x4
Hg: 0.0000 0.0000 0.5000 x4
Hg: 0.2500 0.2500 0.7500 x4
Ir: 0.2500 0.2500 0.2500 x4

# 2
Diffraction record for Li2GaHg. The PXRD pattern is simulated, not measured: it uses a GGA-PBE-relaxed structure and Cu Kα (λ = 1.5418 Å).
Kinematic intensities with the Lorentz-polarization factor, no thermal factor.

The 8 most intense peaks (2θ from 10° to 90°), in order of falling intensity:
- 39.3 deg, intensity 1000
- 24.2 deg, intensity 886
- 23.9 deg, intensity 700
- 47.4 deg, intensity 299
- 31.4 deg, intensity 292
- 19.8 deg, intensity 283
- 40.2 deg, intensity 248
- 40.8 deg, intensity 237

Lattice parameters (Å, degrees): 4.4190 4.4897 6.6728 90.00 90.00 90.00
Space group Pmma (No. 51)
Asymmetric unit:
Li: 0.2500 0.0000 0.1160 x2
Li: 0.2500 0.5000 0.3696 x2
Ga: 0.2500 0.5000 0.8900 x2
Hg: 0.2500 0.0000 0.6442 x2

# 3
Diffraction record for NdGaHg2. The PXRD pattern is simulated, not measured: it uses a GGA-PBE-relaxed structure and Cu Kα (λ = 1.5418 Å).
Kinematic intensities with the Lorentz-polarization factor, no thermal factor.

The 8 most intense peaks (2θ from 10° to 90°), in order of falling intensity:
- 35.7 deg, intensity 1000
- 36.1 deg, intensity 446
- 36.7 deg, intensity 307
- 30.5 deg, intensity 225
- 67.8 deg, intensity 195
- 54.9 deg, intensity 183
- 65.5 deg, intensity 173
- 15.1 deg, intensity 153

Lattice parameters (Å, degrees): 4.8955 11.5387 6.7970 90.00 90.00 90.00
Space group Ama2 (No. 40)
Asymmetric unit:
Nd: 0.2500 0.1644 0.0000 x4
Ga: 0.2500 0.4255 0.2437 x4
Hg: 0.2500 0.1586 0.5186 x4
Hg: 0.2500 0.4173 0.7670 x4